Calculated PXRD pattern of Ca6ScCo3O12 for Cu Ka, from a DFT-relaxed cell (PBE+U, Alexandria).
Intensities are scaled so that the largest is 100.

Crystal structure
Cell: 6.3616 6.3616 6.3616 Å, 92.46 92.46 92.46°
Positions (direct):
Ca 0.0000 0.3698 0.6302
Ca 0.1335 0.8665 0.5000
Ca 0.3698 0.6302 0.0000
Ca 0.5000 0.1335 0.8665
Ca 0.6302 0.0000 0.3698
Ca 0.8665 0.5000 0.1335
Sc 0.0000 0.0000 0.0000
Co 0.2510 0.2510 0.2510
Co 0.5000 0.5000 0.5000
Co 0.7490 0.7490 0.7490
O 0.0407 0.7065 0.8387
O 0.1613 0.2935 0.9593
O 0.2130 0.5393 0.3448
O 0.2935 0.9593 0.1613
O 0.3448 0.2130 0.5393
O 0.4607 0.7870 0.6552
O 0.5393 0.3448 0.2130
O 0.6552 0.4607 0.7870
O 0.7065 0.8387 0.0407
O 0.7870 0.6552 0.4607
O 0.8387 0.0407 0.7065
O 0.9593 0.1613 0.2935

Main lines, most intense first (15 to 90 degrees two-theta):
d = 2.652 Å, rel. 100
d = 4.594 Å, rel. 61
d = 1.981 Å, rel. 50
d = 1.922 Å, rel. 48
d = 2.790 Å, rel. 43
d = 2.196 Å, rel. 34
d = 1.500 Å, rel. 31
d = 2.160 Å, rel. 24
d = 1.326 Å, rel. 16
d = 1.531 Å, rel. 14